Calculated powder diffractogram
Compound: Ce3DyPt12
Radiation: Cu Kα X-rays
Structure: the GGA-PBE geometry in Alexandria
No peak broadening, texture or thermal motion is included.

Cell and atoms:
```
Ce3DyPt12
1.0
4.1564 0.0000 0.0000
0.0000 4.1564 0.0000
0.0000 0.0000 16.6288
Ce Dy Pt
3 1 12
Cartesian
0.0000 0.0000 0.0000
0.0000 0.0000 4.1953
0.0000 0.0000 12.4335
0.0000 0.0000 8.3144
0.0000 2.0782 2.0903
0.0000 2.0782 6.2377
0.0000 2.0782 10.3911
0.0000 2.0782 14.5385
2.0782 0.0000 2.0903
2.0782 0.0000 6.2377
2.0782 0.0000 10.3911
2.0782 0.0000 14.5385
2.0782 2.0782 0.0000
2.0782 2.0782 4.1733
2.0782 2.0782 8.3144
2.0782 2.0782 12.4555
```

Most intense lines, 10 to 80 degrees two-theta, by angle:
- 2θ 21.38, I = 1, hkl 0 0 4
- 2θ 37.48, I = 100, hkl 1 1 4
- 2θ 43.55, I = 49, hkl 2 0 0
- 2θ 63.28, I = 33, hkl 2 2 0
- 2θ 75.92, I = 39, hkl 3 1 4
- 2θ 79.95, I = 11, hkl 2 2 8